Entry 1:
Structure and calculated powder XRD pattern of Ni5Pd2Rh2 (a structure optimized by DFT (GGA-PBE); λ = 1.5418 Å (Cu Kα)).

```
Ni5Pd2Rh2
1.0
4.540 0.000 0.000
0.771 4.483 0.000
0.791 1.396 5.687
Ni Pd Rh
5 2 2
Direct
0.000 0.000 0.000 Ni
0.111 0.558 0.786 Ni
0.337 0.663 0.330 Ni
0.663 0.337 0.670 Ni
0.889 0.442 0.214 Ni
0.215 0.125 0.561 Pd
0.785 0.875 0.439 Pd
0.438 0.227 0.103 Rh
0.562 0.773 0.897 Rh
```

Top 10 peaks for 10 to 80 degrees two-theta, most intense first:
2θ (°), I (rel.)
42.15, 100.0
49.10, 42.2
41.88, 34.1
48.75, 21.3
71.54, 12.7
71.85, 12.5
71.74, 6.8
72.21, 6.2
26.55, 3.6
30.67, 2.0



Entry 2:
Structure and calculated powder XRD pattern of Np3Co3Ge8 (a structure optimized by DFT (GGA-PBE); λ = 1.5418 Å (Cu Kα)).

```
Np3Co3Ge8
1.0
7.895 -2.122 0.000
7.895 2.122 0.000
-3.411 0.000 7.393
Np Co Ge
3 3 8
Direct
0.000 0.000 0.000 Np
0.280 0.280 0.308 Np
0.720 0.720 0.692 Np
0.000 0.000 0.500 Co
0.350 0.350 0.014 Co
0.650 0.650 0.986 Co
0.126 0.126 0.426 Ge
0.176 0.176 0.899 Ge
0.364 0.364 0.746 Ge
0.476 0.476 0.306 Ge
0.524 0.524 0.694 Ge
0.636 0.636 0.254 Ge
0.824 0.824 0.101 Ge
0.874 0.874 0.574 Ge
```

Top 10 peaks for 10 to 80 degrees two-theta, most intense first:
2θ (°), I (rel.)
34.67, 100.0
35.44, 80.0
42.60, 52.2
23.67, 42.6
39.57, 40.2
35.16, 32.5
44.46, 27.9
33.69, 26.3
56.38, 22.5
28.12, 22.0



Entry 3:
Structure and calculated powder XRD pattern of Na3Al2Au4 (a structure optimized by DFT (GGA-PBE); λ = 1.5418 Å (Cu Kα)).

```
Na3Al2Au4
1.0
5.573 -2.215 0.000
5.573 2.215 0.000
-2.949 0.000 8.048
Na Al Au
3 2 4
Direct
0.000 0.000 0.000 Na
0.381 0.381 0.297 Na
0.619 0.619 0.703 Na
0.318 0.318 0.645 Al
0.682 0.682 0.355 Al
0.093 0.093 0.420 Au
0.276 0.276 0.913 Au
0.724 0.724 0.087 Au
0.907 0.907 0.580 Au
```

Top 10 peaks for 10 to 80 degrees two-theta, most intense first:
2θ (°), I (rel.)
33.31, 100.0
23.25, 98.2
31.51, 89.0
40.18, 78.3
23.08, 77.9
40.74, 48.7
47.45, 39.0
22.09, 35.8
46.23, 35.6
31.82, 33.4



Entry 4:
Structure and calculated powder XRD pattern of RbTeS2O8 (a structure optimized by DFT (GGA-PBE); λ = 1.5418 Å (Cu Kα)).

```
RbTeS2O8
1.0
5.015 0.000 0.000
-2.508 4.343 0.000
0.000 0.000 9.228
Rb Te S O
1 1 2 8
Direct
0.000 0.000 0.000 Rb
0.000 0.000 0.500 Te
0.333 0.667 0.731 S
0.667 0.333 0.269 S
0.069 0.367 0.676 O
0.298 0.931 0.676 O
0.333 0.667 0.889 O
0.367 0.298 0.324 O
0.633 0.702 0.676 O
0.667 0.333 0.111 O
0.702 0.069 0.324 O
0.931 0.633 0.324 O
```

Top 10 peaks for 10 to 80 degrees two-theta, most intense first:
2θ (°), I (rel.)
28.22, 100.0
20.45, 45.2
22.63, 36.8
35.81, 34.6
46.20, 26.5
40.96, 21.7
59.80, 21.6
44.47, 20.4
54.01, 18.1
64.25, 10.7